# Nd3Te
Calculated powder diffractogram, Cu Ka. Input: a PBE-relaxed structure.
Lines closer than 0.1° are merged.

Atomic structure:
abc: 12.840 12.840 6.256
angles: 90.00 90.00 90.00
Space group P4_2/n (No. 86, origin choice 2)
Inequivalent atoms, fractional coordinates:
Nd: 0.034 0.573 0.243
Nd: 0.110 0.223 0.034
Nd: 0.141 0.667 0.715
Te: 0.047 0.208 0.538

Main lines, in order of rising 2θ (2θ from 15° to 90°):
| 2θ/deg | d/Å | I_rel | (hkl) |
| --- | --- | --- | --- |
| 28.85 | 3.095 | 100 | 2 3 1 |
| 29.52 | 3.026 | 56 | 3 3 0 |
| 30.22 | 2.958 | 71 | 1 1 2 |
| 31.15 | 2.871 | 62 | 2 4 0 |
| 32.11 | 2.788 | 94 | 4 1 1 |
| 34.83 | 2.576 | 40 | 2 2 2 |
| 35.66 | 2.518 | 43 | 5 1 0 |
| 36.25 | 2.478 | 48 | 1 3 2 |



# Ta2Mn2S7
Calculated powder diffractogram, Cu Ka. Input: a PBE-relaxed structure.
Lines closer than 0.1° are merged.

Atomic structure:
abc: 6.984 10.575 6.615
angles: 90.00 97.74 90.00
Space group C2/m (No. 12)
Inequivalent atoms, fractional coordinates:
Ta: 0.000 0.151 0.000
Mn: 0.234 0.000 0.646
S: 0.000 0.500 0.500
S: 0.102 0.000 0.268
S: 0.240 0.301 0.206

Main lines, in order of rising 2θ (2θ from 15° to 90°):
| 2θ/deg | d/Å | I_rel | (hkl) |
| --- | --- | --- | --- |
| 15.30 | 5.790 | 73 | 1 1 0 |
| 21.59 | 4.115 | 100 | 1 1 1 |
| 27.48 | 3.246 | 28 | 2 0 -1 |
| 28.42 | 3.141 | 27 | 1 3 0 |
| 30.81 | 2.902 | 28 | 2 0 1 |
| 32.35 | 2.767 | 30 | 1 3 1 |
| 35.09 | 2.558 | 24 | 2 0 -2 |
| 41.00 | 2.201 | 38 | 1 3 2 |



# AcErSeO2
Calculated powder diffractogram, Cu Ka. Input: a PBE-relaxed structure.
Lines closer than 0.1° are merged.

Atomic structure:
abc: 6.878 4.199 7.942
angles: 90.00 110.00 90.00
Space group P2_1/m (No. 11)
Inequivalent atoms, fractional coordinates:
Ac: 0.199 0.250 0.435
Er: 0.162 0.250 0.926
Se: 0.457 0.750 0.760
O: 0.010 0.750 0.363
O: 0.023 0.750 0.897

Main lines, in order of rising 2θ (2θ from 15° to 90°):
| 2θ/deg | d/Å | I_rel | (hkl) |
| --- | --- | --- | --- |
| 25.29 | 3.521 | 84 | 1 1 0 |
| 29.75 | 3.004 | 53 | 2 0 -2 |
| 31.52 | 2.839 | 100 | 1 0 2 |
| 32.09 | 2.789 | 27 | 0 1 2 |
| 35.04 | 2.561 | 34 | 2 1 0 |
| 43.08 | 2.100 | 24 | 0 2 0 |
| 53.23 | 1.721 | 21 | 2 2 -2 |
| 54.35 | 1.688 | 20 | 1 2 2 |



# Tb2CeDyHo
Calculated powder diffractogram, Cu Ka. Input: a PBE-relaxed structure.
Lines closer than 0.1° are merged.

Atomic structure:
abc: 5.897 8.057 6.770
angles: 90.00 90.00 90.00
Space group Pmma (No. 51)
Inequivalent atoms, fractional coordinates:
Tb: 0.250 0.198 0.190
Ce: 0.000 0.500 0.500
Dy: 0.250 0.500 0.913
Ho: 0.250 0.000 0.662

Main lines, in order of rising 2θ (2θ from 15° to 90°):
| 2θ/deg | d/Å | I_rel | (hkl) |
| --- | --- | --- | --- |
| 28.60 | 3.121 | 35 | 0 1 2 |
| 29.93 | 2.985 | 100 | 1 2 1 |
| 30.32 | 2.948 | 29 | 2 0 0 |
| 32.46 | 2.758 | 50 | 1 1 2 |
| 35.01 | 2.563 | 34 | 2 1 1 |
| 39.19 | 2.299 | 21 | 1 3 1 |
| 47.74 | 1.905 | 28 | 2 3 1 |
| 56.18 | 1.637 | 22 | 2 2 3 |



# LaY3Co8
Calculated powder diffractogram, Cu Ka. Input: a PBE-relaxed structure.
Lines closer than 0.1° are merged.

Atomic structure:
abc: 5.1084 5.1084 25.1049
angles: 90.00 90.00 120.00
Space group R3m (No. 160, hexagonal axes)
Inequivalent atoms, fractional coordinates:
La: 0.0000 0.0000 0.0000
Y: 0.0000 0.0000 0.1251
Y: 0.0000 0.0000 0.5007
Y: 0.0000 0.0000 0.6254
Co: 0.0000 0.0000 0.3125
Co: 0.0000 0.0000 0.8132
Co: 0.0024 0.5012 0.0647
Co: 0.1690 0.3380 0.8944

Main lines, in order of rising 2θ (2θ from 15° to 90°):
| 2θ/deg | d/Å | I_rel | (hkl) |
| --- | --- | --- | --- |
| 35.10 | 2.557 | 46 | 1 1 0 |
| 41.41 | 2.181 | 100 | 2 0 2 |
| 43.37 | 2.086 | 19 | 0 2 4 |
| 63.00 | 1.475 | 12 | 1 2 8 |
| 67.30 | 1.391 | 22 | 3 0 6 |
| 74.08 | 1.280 | 11 | 0 2 16 |
| 74.26 | 1.277 | 11 | 2 2 0 |
| 88.77 | 1.102 | 8 | 1 3 10 |



# Tb12Sm7Al
Calculated powder diffractogram, Cu Ka. Input: a PBE-relaxed structure.
Lines closer than 0.1° are merged.

Atomic structure:
abc: 8.309 9.230 9.601
angles: 76.55 67.52 74.68
Space group P-1 (No. 2)
Inequivalent atoms, fractional coordinates:
Tb: 0.026 0.155 0.060
Tb: 0.096 0.789 0.268
Tb: 0.114 0.461 0.157
Tb: 0.338 0.015 0.692
Tb: 0.367 0.350 0.422
Tb: 0.416 0.681 0.937
Sm: 0.193 0.080 0.372
Sm: 0.225 0.697 0.577
Sm: 0.387 0.357 0.788
Sm: 0.500 0.000 0.000
Al: 0.000 0.500 0.500

Main lines, in order of rising 2θ (2θ from 15° to 90°):
| 2θ/deg | d/Å | I_rel | (hkl) |
| --- | --- | --- | --- |
| 28.83 | 3.097 | 78 | 2 0 -1 |
| 30.09 | 2.970 | 86 | 2 -1 2 |
| 30.46 | 2.935 | 100 | 1 3 0 |
| 31.03 | 2.882 | 86 | 1 2 3 |
| 31.65 | 2.827 | 21 | -2 1 1 |
| 33.69 | 2.660 | 79 | 0 1 -3 |
| 34.69 | 2.586 | 50 | 3 2 2 |
| 36.31 | 2.474 | 45 | -1 3 1 |



# CuNi2Te4
Calculated powder diffractogram, Cu Ka. Input: a PBE-relaxed structure.
Lines closer than 0.1° are merged.

Atomic structure:
abc: 10.831 10.875 10.900
angles: 90.00 90.00 90.00
Space group Fddd (No. 70, origin choice 2)
Inequivalent atoms, fractional coordinates:
Cu: 0.125 0.125 0.125
Ni: 0.000 0.000 0.500
Te: 0.011 0.012 0.738

Main lines, in order of rising 2θ (2θ from 15° to 90°):
| 2θ/deg | d/Å | I_rel | (hkl) |
| --- | --- | --- | --- |
| 27.18 | 3.281 | 16 | 1 3 1 |
| 28.45 | 3.138 | 100 | 2 2 2 |
| 32.91 | 2.722 | 80 | 0 4 0 |
| 33.08 | 2.708 | 40 | 4 0 0 |
| 43.18 | 2.095 | 30 | 1 1 5 |
| 47.22 | 1.925 | 43 | 0 4 4 |
| 47.36 | 1.920 | 86 | 4 4 0 |
| 58.87 | 1.569 | 26 | 4 4 4 |



# Ba3LuIrRuO9
Calculated powder diffractogram, Cu Ka. Input: a PBE-relaxed structure.
Lines closer than 0.1° are merged.

Atomic structure:
abc: 5.9127 5.9127 14.5518
angles: 90.00 90.00 120.00
Space group P6_3mc (No. 186)
Inequivalent atoms, fractional coordinates:
Ba: 0.0000 0.0000 0.0000
Ba: 0.3333 0.6667 0.1588
Ba: 0.3333 0.6667 0.8398
Lu: 0.0000 0.0000 0.2495
Ir: 0.3333 0.6667 0.5871
Ru: 0.3333 0.6667 0.4126
O: 0.0206 0.5103 0.4999
O: 0.1743 0.3486 0.3367
O: 0.1743 0.3487 0.6662

Main lines, in order of rising 2θ (2θ from 15° to 90°):
| 2θ/deg | d/Å | I_rel | (hkl) |
| --- | --- | --- | --- |
| 25.29 | 3.521 | 11 | 1 0 3 |
| 30.19 | 2.960 | 100 | 1 1 0 |
| 35.48 | 2.530 | 10 | 1 0 5 |
| 43.21 | 2.094 | 21 | 2 0 4 |
| 53.67 | 1.708 | 28 | 3 0 0 |
| 57.12 | 1.613 | 11 | 2 0 7 |
| 62.87 | 1.478 | 11 | 2 2 0 |
| 87.23 | 1.118 | 11 | 4 1 0 |